Computed powder diffractogram of Co3Pd4PbO12 for Cu Kα (weighted mean of Kα1 and Kα2), from a crystal structure in OQMD, relaxed with PBE+U.
Peak positions follow from Bragg's law for the DFT cell and can differ from measured ones.

Atomic structure:
```
20
Lattice="-3.783 3.783 3.783 3.783 -3.783 3.783 3.783 3.783 -3.783" Properties=species:S:1:pos:R:3 pbc="T T T"
Co 3.783 0.000 0.000
Co 0.000 3.783 0.000
Co 0.000 0.000 3.783
Pd 1.891 1.891 -1.891
Pd 1.891 -1.891 1.891
Pd -1.891 1.891 1.891
Pd 1.891 1.891 1.891
Pb 0.000 0.000 0.000
O 3.783 2.477 -1.352
O 2.430 0.000 1.306
O 5.135 0.000 1.306
O 1.306 2.430 0.000
O 2.477 -1.352 3.783
O 0.000 1.306 2.430
O 3.783 2.477 1.352
O 1.306 5.135 0.000
O 2.477 1.352 3.783
O -1.352 3.783 2.477
O 1.352 3.783 2.477
O 0.000 1.306 5.135
```

Peak list (12 most intense, 2θ from 5° to 70°, by intensity)
Position (°2θ)	Rel. int.
33.5	100
59.9	46
48.1	22
16.6	14
44.8	10
37.6	10
28.9	8
62.6	4
51.2	2
67.9	2
23.5	1
57.1	1